1.
Calculated powder diffractogram of Hg4BiS2Cl5 for Cu Kα (λ = 1.5418 Å), from a structure optimized by DFT (GGA-PBE).

Top 6 peaks for 2θ from 10° to 90°, in order of rising 2θ:
| index | 2θ (°) | intensity |
| --- | --- | --- |
| 1 2 -1 | 20.7 | 100.0 |
| 2 0 -1 | 21.5 | 34.5 |
| 1 2 1 | 25.1 | 24.3 |
| 0 4 0 | 33.5 | 43.7 |
| 2 2 1 | 33.9 | 24.4 |
| 2 2 -3 | 35.9 | 37.3 |

Structure:
```
data_Hg4BiS2Cl5
_chemical_formula_sum 'Hg8 Bi2 S4 Cl10'
_cell_length_a 8.290
_cell_length_b 10.690
_cell_length_c 9.031
_cell_angle_alpha 90.00
_cell_angle_beta 113.19
_cell_angle_gamma 90.00
_symmetry_space_group_name_H-M 'P 1 21 1'
_symmetry_Int_Tables_number 4
loop_
_symmetry_equiv_pos_as_xyz
'x,y,z'
'-x,y+1/2,-z'
loop_
_atom_site_label
_atom_site_type_symbol
_atom_site_fract_x
_atom_site_fract_y
_atom_site_fract_z
Hg1 Hg 0.003 0.000 0.015
Hg2 Hg 0.305 0.751 0.020
Hg3 Hg 0.424 0.502 0.329
Hg4 Hg 0.449 0.987 0.355
Bi1 Bi 0.003 0.750 0.510
S1 S 0.303 0.524 0.029
S2 S 0.306 0.977 0.056
Cl1 Cl 0.001 0.005 0.432
Cl2 Cl 0.093 0.717 0.260
Cl3 Cl 0.097 0.273 0.231
Cl4 Cl 0.338 0.243 0.690
Cl5 Cl 0.356 0.756 0.713
```

=====

2.
Calculated powder diffractogram of Hg3Bi2Te2Cl8 for Cu Kα (λ = 1.5418 Å), from a structure optimized by DFT (GGA-PBE).

Top 6 peaks for 2θ from 10° to 90°, in order of rising 2θ:
| index | 2θ (°) | intensity |
| --- | --- | --- |
| 2 0 2 | 18.7 | 54.2 |
| 3 1 -1 | 18.8 | 100.0 |
| 3 1 -3 | 24.8 | 31.1 |
| 4 2 -2 | 31.3 | 33.3 |
| 6 0 -4 | 35.6 | 68.5 |
| 2 2 -6 | 45.9 | 32.3 |

Structure:
```
data_Hg3Bi2Te2Cl8
_chemical_formula_sum 'Hg12 Bi8 Te8 Cl32'
_cell_length_a 18.032
_cell_length_b 7.862
_cell_length_c 13.738
_cell_angle_alpha 90.00
_cell_angle_beta 104.32
_cell_angle_gamma 90.00
_symmetry_space_group_name_H-M 'C 1 2/c 1'
_symmetry_Int_Tables_number 15
loop_
_symmetry_equiv_pos_as_xyz
'x,y,z'
'-x,-y,-z'
'-x,y,-z+1/2'
'x,-y,z+1/2'
'x+1/2,y+1/2,z'
'-x+1/2,-y+1/2,-z'
'-x+1/2,y+1/2,-z+1/2'
'x+1/2,-y+1/2,z+1/2'
loop_
_atom_site_label
_atom_site_type_symbol
_atom_site_fract_x
_atom_site_fract_y
_atom_site_fract_z
Hg1 Hg 0.247 0.014 0.256
Hg2 Hg 0.250 0.250 0.000
Bi1 Bi 0.042 0.231 0.439
Te1 Te 0.166 0.248 0.806
Cl1 Cl 0.001 0.106 0.611
Cl2 Cl 0.102 0.270 0.278
Cl3 Cl 0.102 0.480 0.035
Cl4 Cl 0.174 0.107 0.524
```

=====

3.
Calculated powder diffractogram of Bi2TeIClO8 for Cu Kα (λ = 1.5418 Å), from a structure optimized by DFT (GGA-PBE).

Top 6 peaks for 2θ from 10° to 90°, in order of rising 2θ:
| index | 2θ (°) | intensity |
| --- | --- | --- |
| 3 1 -1 | 20.7 | 56.4 |
| 3 1 -3 | 25.3 | 36.6 |
| 5 1 -1 | 26.0 | 100.0 |
| 2 0 4 | 27.3 | 29.7 |
| 3 1 3 | 29.5 | 35.8 |
| 4 2 3 | 43.7 | 29.8 |

Structure:
```
data_Bi2TeIClO8
_chemical_formula_sum 'Bi16 Te8 I8 Cl8 O64'
_cell_length_a 22.252
_cell_length_b 5.356
_cell_length_c 15.369
_cell_angle_alpha 90.00
_cell_angle_beta 104.65
_cell_angle_gamma 90.00
_symmetry_space_group_name_H-M 'C 1 c 1'
_symmetry_Int_Tables_number 9
loop_
_symmetry_equiv_pos_as_xyz
'x,y,z'
'x,-y,z+1/2'
'x+1/2,y+1/2,z'
'x+1/2,-y+1/2,z+1/2'
loop_
_atom_site_label
_atom_site_type_symbol
_atom_site_fract_x
_atom_site_fract_y
_atom_site_fract_z
Bi1 Bi 0.000 0.130 0.000
Bi2 Bi 0.035 0.208 0.265
Bi3 Bi 0.301 0.193 0.655
Bi4 Bi 0.333 0.136 0.914
Te1 Te 0.398 0.318 0.293
Te2 Te 0.439 0.183 0.119
I1 I 0.143 0.251 0.724
I2 I 0.174 0.301 0.024
Cl1 Cl 0.059 0.389 0.447
Cl2 Cl 0.277 0.428 0.457
O1 O 0.012 0.097 0.648
O2 O 0.114 0.076 0.811
O3 O 0.116 0.136 0.070
O4 O 0.133 0.439 0.267
O5 O 0.200 0.467 0.613
O6 O 0.227 0.183 0.767
O7 O 0.236 0.069 0.053
O8 O 0.324 0.116 0.257
O9 O 0.353 0.384 0.804
O10 O 0.363 0.000 0.073
O11 O 0.392 0.448 0.169
O12 O 0.412 0.166 0.410
O13 O 0.422 0.329 0.000
O14 O 0.447 0.053 0.243
O15 O 0.478 0.480 0.341
O16 O 0.492 0.093 0.610
```

=====

4.
Calculated powder diffractogram of Rb2InBiCl6 for Cu Kα (λ = 1.5418 Å), from a structure optimized by DFT (GGA-PBE).

Top 6 peaks for 2θ from 10° to 90°, in order of rising 2θ:
| index | 2θ (°) | intensity |
| --- | --- | --- |
| 2 0 0 | 15.5 | 32.0 |
| 2 2 0 | 22.0 | 100.0 |
| 4 0 0 | 31.4 | 59.3 |
| 4 2 2 | 38.7 | 48.1 |
| 4 4 0 | 44.9 | 41.6 |
| 6 4 2 | 60.7 | 26.8 |

Structure:
```
data_Rb2InBiCl6
_chemical_formula_sum 'Rb8 In4 Bi4 Cl24'
_cell_length_a 11.410
_cell_length_b 11.410
_cell_length_c 11.410
_cell_angle_alpha 90.00
_cell_angle_beta 90.00
_cell_angle_gamma 90.00
_symmetry_space_group_name_H-M 'F m -3 m'
_symmetry_Int_Tables_number 225
_symmetry_space_group_name_Hall '-F 4 2 3'
loop_
_atom_site_label
_atom_site_type_symbol
_atom_site_fract_x
_atom_site_fract_y
_atom_site_fract_z
Rb1 Rb 0.250 0.250 0.250
In1 In 0.000 0.000 0.000
Bi1 Bi 0.000 0.000 0.500
Cl1 Cl 0.000 0.000 0.261
```

=====

5.
Calculated powder diffractogram of K2LiBiCl6 for Cu Kα (λ = 1.5418 Å), from a structure optimized by DFT (GGA-PBE).

Top 6 peaks for 2θ from 10° to 90°, in order of rising 2θ:
| index | 2θ (°) | intensity |
| --- | --- | --- |
| 1 1 1 | 14.5 | 100.0 |
| 2 0 0 | 16.8 | 63.1 |
| 2 2 0 | 23.9 | 65.8 |
| 3 1 1 | 28.1 | 75.8 |
| 4 0 0 | 34.0 | 71.6 |
| 4 4 0 | 48.8 | 47.6 |

Structure:
```
data_K2LiBiCl6
_chemical_formula_sum 'K8 Li4 Bi4 Cl24'
_cell_length_a 10.550
_cell_length_b 10.550
_cell_length_c 10.550
_cell_angle_alpha 90.00
_cell_angle_beta 90.00
_cell_angle_gamma 90.00
_symmetry_space_group_name_H-M 'F m -3 m'
_symmetry_Int_Tables_number 225
_symmetry_space_group_name_Hall '-F 4 2 3'
loop_
_atom_site_label
_atom_site_type_symbol
_atom_site_fract_x
_atom_site_fract_y
_atom_site_fract_z
K1 K 0.250 0.250 0.250
Li1 Li 0.000 0.000 0.000
Bi1 Bi 0.000 0.000 0.500
Cl1 Cl 0.000 0.000 0.243
```

=====

6.
Calculated powder diffractogram of K2NaBiCl6 for Cu Kα (λ = 1.5418 Å), from a structure optimized by DFT (GGA-PBE).

Top 6 peaks for 2θ from 10° to 90°, in order of rising 2θ:
| index | 2θ (°) | intensity |
| --- | --- | --- |
| 1 1 1 | 14.1 | 100.0 |
| 2 0 0 | 16.3 | 82.4 |
| 2 2 0 | 23.1 | 85.0 |
| 3 1 1 | 27.1 | 65.0 |
| 4 0 0 | 32.9 | 86.1 |
| 4 4 0 | 47.2 | 58.2 |

Structure:
```
data_K2NaBiCl6
_chemical_formula_sum 'K8 Na4 Bi4 Cl24'
_cell_length_a 10.898
_cell_length_b 10.898
_cell_length_c 10.898
_cell_angle_alpha 90.00
_cell_angle_beta 90.00
_cell_angle_gamma 90.00
_symmetry_space_group_name_H-M 'F m -3 m'
_symmetry_Int_Tables_number 225
_symmetry_space_group_name_Hall '-F 4 2 3'
loop_
_atom_site_label
_atom_site_type_symbol
_atom_site_fract_x
_atom_site_fract_y
_atom_site_fract_z
K1 K 0.250 0.250 0.250
Na1 Na 0.000 0.000 0.000
Bi1 Bi 0.000 0.000 0.500
Cl1 Cl 0.000 0.000 0.252
```